# 1
This entry pairs a crystal structure of FeP2O7 with its computed powder diffraction line list. Radiation: Cu Kα X-rays. Structure: a crystal structure in Alexandria, relaxed with PBE+U.

Most intense lines, 10° ≤ 2θ ≤ 90°, in order of falling intensity:
- 2θ = 16.93°, rel. 100.0, (0 1 1)
- 2θ = 29.07°, rel. 44.7, (1 2 -1)
- 2θ = 22.27°, rel. 40.1, (1 1 -1)
- 2θ = 21.23°, rel. 24.1, (1 1 0)
- 2θ = 27.57°, rel. 24.0, (1 1 1)
- 2θ = 29.98°, rel. 17.6, (1 1 -2)

Crystal structure
a b c (Å): 5.0232 8.3300 6.9876
angles (deg): 90.00 105.48 90.00
Space group P2_1 (No. 4)
One atom of each set of equivalent atoms:
Fe  0.2108  0.0000  0.2289 [2 per cell]
P  0.2543  0.7355  0.6084 [2 per cell]
P  0.3767  0.3169  0.0070 [2 per cell]
O  0.0139  0.6692  0.6802 [2 per cell]
O  0.1406  0.4384  0.9715 [2 per cell]
O  0.1553  0.8352  0.4225 [2 per cell]
O  0.2742  0.1454  0.0113 [2 per cell]
O  0.4268  0.8584  0.7751 [2 per cell]
O  0.4462  0.5966  0.5873 [2 per cell]
O  0.4552  0.8390  0.1438 [2 per cell]

***

# 2
This entry pairs a crystal structure of Fe2P3O10 with its computed powder diffraction line list. Radiation: Cu Kα X-rays. Structure: a crystal structure in Alexandria, relaxed with PBE+U.

Most intense lines, 10° ≤ 2θ ≤ 90°, in order of falling intensity:
- 2θ = 28.28°, rel. 100.0, (1 2 0)
- 2θ = 33.50°, rel. 46.0, (1 0 -3)
- 2θ = 31.27°, rel. 42.3, (1 1 2)
- 2θ = 25.66°, rel. 35.7, (1 0 -2)
- 2θ = 24.86°, rel. 33.5, (1 1 1)
- 2θ = 19.95°, rel. 29.6, (0 0 2)

Crystal structure
a b c (Å): 4.7485 8.5085 8.9793
angles (deg): 90.00 97.65 90.00
Space group P2_1/m (No. 11)
One atom of each set of equivalent atoms:
Fe  0.0399  0.0733  0.3274 [4 per cell]
P  0.3340  0.2500  0.8126 [2 per cell]
P  0.3861  0.7500  0.4616 [2 per cell]
P  0.4625  0.2500  0.1459 [2 per cell]
O  0.1718  0.0994  0.7873 [4 per cell]
O  0.2195  0.5993  0.4904 [4 per cell]
O  0.2288  0.7500  0.7691 [2 per cell]
O  0.3052  0.0996  0.1751 [4 per cell]
O  0.3092  0.2500  0.4548 [2 per cell]
O  0.4047  0.7500  0.2854 [2 per cell]
O  0.4795  0.7500  0.0268 [2 per cell]

***

# 3
This entry pairs a crystal structure of Fe3P2O8 with its computed powder diffraction line list. Radiation: Cu Kα X-rays. Structure: a crystal structure in Alexandria, relaxed with PBE+U.

Most intense lines, 10° ≤ 2θ ≤ 90°, in order of falling intensity:
- 2θ = 31.10°, rel. 100.0, (2 2 1)
- 2θ = 25.72°, rel. 94.4, (1 3 0)
- 2θ = 32.17°, rel. 62.8, (3 1 -1)
- 2θ = 28.84°, rel. 53.6, (1 0 -2)
- 2θ = 29.93°, rel. 46.3, (1 1 -2)
- 2θ = 30.41°, rel. 26.9, (1 3 1)

Crystal structure
a b c (Å): 9.0183 11.2858 6.2877
angles (deg): 90.00 99.97 90.00
Space group P2_1/c (No. 14)
One atom of each set of equivalent atoms:
Fe  0.0781  0.1177  0.1209 [4 per cell]
Fe  0.2785  0.0826  0.6642 [4 per cell]
Fe  0.3591  0.6944  0.6163 [4 per cell]
P  0.0927  0.6344  0.8864 [4 per cell]
P  0.3985  0.0872  0.1924 [4 per cell]
O  0.0569  0.2038  0.6081 [4 per cell]
O  0.0718  0.5621  0.6709 [4 per cell]
O  0.1348  0.5594  0.0896 [4 per cell]
O  0.2225  0.7241  0.8686 [4 per cell]
O  0.2784  0.0871  0.9807 [4 per cell]
O  0.3034  0.1250  0.3650 [4 per cell]
O  0.4678  0.5390  0.7369 [4 per cell]
O  0.4775  0.6788  0.3254 [4 per cell]

***

# 4
This entry pairs a crystal structure of Fe4P3O12 with its computed powder diffraction line list. Radiation: Cu Kα X-rays. Structure: a crystal structure in Alexandria, relaxed with PBE+U.

Most intense lines, 10° ≤ 2θ ≤ 90°, in order of falling intensity:
- 2θ = 32.30°, rel. 100.0, (2 4 0)
- 2θ = 28.47°, rel. 72.9, (1 1 -2)
- 2θ = 10.56°, rel. 42.1, (1 1 0)
- 2θ = 25.09°, rel. 38.3, (3 1 0)
- 2θ = 13.83°, rel. 31.3, (0 2 0)
- 2θ = 33.60°, rel. 21.3, (4 0 -2)

Crystal structure
a b c (Å): 12.2343 12.8080 6.5625
angles (deg): 90.00 115.07 90.00
Space group Cc (No. 9)
One atom of each set of equivalent atoms:
Fe  0.0000  0.0033  0.0000 [4 per cell]
Fe  0.0038  0.2556  0.0093 [4 per cell]
Fe  0.2164  0.3552  0.8820 [4 per cell]
Fe  0.2912  0.1544  0.6468 [4 per cell]
P  0.0067  0.2107  0.5121 [4 per cell]
P  0.2453  0.3808  0.3955 [4 per cell]
P  0.2670  0.1069  0.1345 [4 per cell]
O  0.0483  0.2763  0.7269 [4 per cell]
O  0.1061  0.1317  0.5109 [4 per cell]
O  0.1291  0.1072  0.0750 [4 per cell]
O  0.1669  0.3354  0.1588 [4 per cell]
O  0.2094  0.4906  0.4266 [4 per cell]
O  0.2345  0.3070  0.5766 [4 per cell]
O  0.2871  0.1724  0.9539 [4 per cell]
O  0.3131  0.0052  0.6454 [4 per cell]
O  0.3349  0.1601  0.3696 [4 per cell]
O  0.3826  0.3794  0.4351 [4 per cell]
O  0.4090  0.3708  0.0024 [4 per cell]
O  0.4631  0.2186  0.7999 [4 per cell]